1.
Structure and theoretical PXRD pattern of Mn2CuO4 (a crystal structure in the Materials Project, relaxed with GGA+U; CuKα).

Atomic structure:
```
data_Mn2CuO4
_chemical_formula_sum 'Mn4 Cu2 O8'
_cell_length_a 5.859
_cell_length_b 5.935
_cell_length_c 5.939
_cell_angle_alpha 90.65
_cell_angle_beta 119.38
_cell_angle_gamma 119.52
_space_group_name_H-M_alt 'P -1'
_space_group_IT_number 2
loop_
_space_group_symop_operation_xyz
'x,y,z'
'-x,-y,-z'
loop_
_atom_site_label
_atom_site_type_symbol
_atom_site_fract_x
_atom_site_fract_y
_atom_site_fract_z
_atom_site_occupancy
Mn1 Mn 0.000 0.000 0.000 1
Mn2 Mn 0.000 0.000 0.500 1
Mn3 Mn 0.500 0.000 0.000 1
Mn4 Mn 0.500 0.500 0.000 1
Cu1 Cu 0.250 0.623 0.378 1
O1 O 0.023 0.240 0.763 1
O2 O 0.027 0.792 0.762 1
O3 O 0.476 0.238 0.759 1
O4 O 0.476 0.240 0.208 1
```

Largest 8 diffraction maxima, most intense first, 15° ≤ 2θ ≤ 90°:
35.4°, I 100.0, (-1 2 1); 35.3°, I 59.0, (1 0 1); 62.6°, I 50.6, (2 2 -2); 30.1°, I 44.5, (1 1 -1); 35.7°, I 39.1, (2 0 -1); 35.8°, I 38.2, (-2 1 2); 30.0°, I 30.0, (0 1 1); 62.2°, I 17.2, (0 2 2)

---

2.
Structure and theoretical PXRD pattern of LiCo3OF5 (a crystal structure in the Materials Project, relaxed with GGA+U; CuKα).

Atomic structure:
```
data_LiCo3OF5
_chemical_formula_sum 'Li1 Co3 O1 F5'
_cell_length_a 5.234
_cell_length_b 5.268
_cell_length_c 5.569
_cell_angle_alpha 117.02
_cell_angle_beta 90.79
_cell_angle_gamma 119.43
_space_group_name_H-M_alt 'P 1'
_space_group_IT_number 1
loop_
_space_group_symop_operation_xyz
'x,y,z'
loop_
_atom_site_label
_atom_site_type_symbol
_atom_site_fract_x
_atom_site_fract_y
_atom_site_fract_z
_atom_site_occupancy
Li1 Li 0.000 0.000 0.000 1
Co1 Co 0.260 0.579 0.864 1
Co2 Co 0.452 0.959 0.498 1
Co3 Co 0.789 0.574 0.400 1
O1 O 0.167 0.765 0.675 1
F1 F 0.053 0.770 0.177 1
F2 F 0.391 0.479 0.190 1
F3 F 0.542 0.442 0.669 1
F4 F 0.667 0.064 0.189 1
F5 F 0.873 0.092 0.701 1
```

Largest 8 diffraction maxima, most intense first, 15° ≤ 2θ ≤ 90°:
20.5°, I 100.0, (1 -1 0); 31.7°, I 88.8, (-1 1 1); 32.3°, I 82.9, (0 1 -2); 39.6°, I 75.2, (2 -1 1); 32.0°, I 74.8, (1 0 1); 22.8°, I 74.1, (0 1 0); 18.8°, I 61.0, (0 0 1); 33.9°, I 56.6, (1 1 -1)

---

3.
Structure and theoretical PXRD pattern of Fe4O3F5 (a crystal structure in the Materials Project, relaxed with GGA+U; CuKα).

Atomic structure:
```
data_Fe4O3F5
_chemical_formula_sum 'Fe8 O6 F10'
_cell_length_a 5.698
_cell_length_b 5.703
_cell_length_c 10.170
_cell_angle_alpha 103.46
_cell_angle_beta 94.14
_cell_angle_gamma 117.10
_space_group_name_H-M_alt 'P 1'
_space_group_IT_number 1
loop_
_space_group_symop_operation_xyz
'x,y,z'
loop_
_atom_site_label
_atom_site_type_symbol
_atom_site_fract_x
_atom_site_fract_y
_atom_site_fract_z
_atom_site_occupancy
Fe1 Fe 0.000 0.000 0.000 1
Fe2 Fe 0.110 0.612 0.251 1
Fe3 Fe 0.240 0.270 0.511 1
Fe4 Fe 0.377 0.877 0.748 1
Fe5 Fe 0.506 0.560 0.024 1
Fe6 Fe 0.649 0.165 0.252 1
Fe7 Fe 0.763 0.784 0.507 1
Fe8 Fe 0.887 0.400 0.754 1
O1 O 0.068 0.773 0.851 1
O2 O 0.159 0.481 0.658 1
O3 O 0.429 0.775 0.169 1
O4 O 0.691 0.021 0.663 1
O5 O 0.827 0.543 0.356 1
O6 O 0.921 0.223 0.151 1
F1 F 0.116 0.317 0.912 1
F2 F 0.163 0.968 0.608 1
F3 F 0.332 0.053 0.357 1
F4 F 0.354 0.570 0.410 1
F5 F 0.403 0.227 0.101 1
F6 F 0.590 0.315 0.859 1
F7 F 0.598 0.821 0.902 1
F8 F 0.640 0.477 0.603 1
F9 F 0.851 0.071 0.402 1
F10 F 0.904 0.712 0.108 1
```

Largest 8 diffraction maxima, most intense first, 15° ≤ 2θ ≤ 90°:
24.7°, I 100.0, (1 -1 2); 35.4°, I 85.5, (2 0 -1); 27.3°, I 84.9, (-1 1 2); 50.8°, I 61.4, (3 -1 1); 53.7°, I 43.8, (2 0 -5); 65.9°, I 37.3, (1 1 -7); 50.7°, I 21.5, (2 -2 4); 62.4°, I 19.3, (2 2 -2)

---

4.
Structure and theoretical PXRD pattern of LiV2NiO6 (a crystal structure in the Materials Project, relaxed with GGA+U; CuKα).

Atomic structure:
```
data_LiV2NiO6
_chemical_formula_sum 'Li4 V8 Ni4 O24'
_cell_length_a 10.794
_cell_length_b 8.666
_cell_length_c 5.616
_cell_angle_alpha 90.00
_cell_angle_beta 113.32
_cell_angle_gamma 90.00
_space_group_name_H-M_alt 'C 1 2 1'
_space_group_IT_number 5
loop_
_space_group_symop_operation_xyz
'x,y,z'
'-x,y,-z'
'x+1/2,y+1/2,z'
'-x+1/2,y+1/2,-z'
loop_
_atom_site_label
_atom_site_type_symbol
_atom_site_fract_x
_atom_site_fract_y
_atom_site_fract_z
_atom_site_occupancy
Li1 Li 0.000 0.000 0.000 1
Li2 Li 0.000 0.451 0.500 1
V1 V 0.220 0.326 0.014 1
V2 V 0.225 0.114 0.548 1
Ni1 Ni 0.000 0.641 0.000 1
Ni2 Ni 0.000 0.799 0.500 1
O1 O 0.097 0.623 0.398 1
O2 O 0.107 0.818 0.902 1
O3 O 0.122 0.958 0.435 1
O4 O 0.143 0.280 0.681 1
O5 O 0.161 0.204 0.192 1
O6 O 0.178 0.515 0.059 1
```

Largest 8 diffraction maxima, most intense first, 15° ≤ 2θ ≤ 90°:
28.3°, I 100.0, (2 2 -1); 28.9°, I 47.8, (3 1 0); 36.2°, I 35.9, (2 2 1); 34.8°, I 33.5, (0 0 2); 19.0°, I 31.4, (1 1 -1); 53.0°, I 22.4, (5 3 -1); 40.8°, I 22.3, (1 1 2); 20.5°, I 18.9, (0 2 0)

---

5.
Structure and theoretical PXRD pattern of CoSbO3 (a crystal structure in the Materials Project, relaxed with GGA+U; CuKα).

Atomic structure:
```
data_CoSbO3
_chemical_formula_sum 'Co1 Sb1 O3'
_cell_length_a 3.765
_cell_length_b 3.765
_cell_length_c 3.765
_cell_angle_alpha 90.00
_cell_angle_beta 90.00
_cell_angle_gamma 90.00
_space_group_name_H-M_alt 'P m -3 m'
_space_group_IT_number 221
_space_group_name_Hall '-P 4 2 3'
loop_
_atom_site_label
_atom_site_type_symbol
_atom_site_fract_x
_atom_site_fract_y
_atom_site_fract_z
_atom_site_occupancy
Co1 Co 0.000 0.000 0.000 1
Sb1 Sb 0.500 0.500 0.500 1
O1 O 0.000 0.000 0.500 1
```

Largest 8 diffraction maxima, most intense first, 15° ≤ 2θ ≤ 90°:
33.7°, I 100.0, (1 1 0); 60.2°, I 36.8, (2 1 1); 48.4°, I 33.0, (2 0 0); 70.8°, I 18.9, (2 2 0); 80.7°, I 15.8, (3 1 0); 41.5°, I 15.2, (1 1 1); 23.6°, I 7.1, (1 0 0); 85.6°, I 4.7, (3 1 1)